Structure and calculated X-ray diffraction stick pattern of Cr4GaCuS8 (a structure optimized by DFT (GGA-PBE); Cu Kα X-rays).
Lines closer than 0.1° are merged.

Structure:
Cell lengths 9.9774, 9.9774, 9.9774 Å; angles 90.00, 90.00, 90.00 degrees
Space group F-43m (No. 216)
One atom of each set of equivalent atoms:
Cr1 0.1212 0.1212 0.1212 [16 per cell]
Ga1 0.0000 0.0000 0.5000 [4 per cell]
Cu1 0.2500 0.2500 0.7500 [4 per cell]
S1 0.1164 0.1164 0.8836 [16 per cell]
S2 0.1346 0.1346 0.3654 [16 per cell]

Largest 12 diffraction maxima, low angle first, 10 to 80 degrees two-theta:
d/Å	Position (°2θ)	I_rel	(hkl)
3.528	25.25	40	2 2 0
3.008	29.70	100	3 1 1
2.494	36.01	39	4 0 0
2.037	44.49	16	4 2 2
1.920	47.34	48	5 1 1
1.764	51.84	85	4 4 0
1.578	58.51	6	6 2 0
1.522	60.88	11	5 3 3
1.440	64.73	7	4 4 4
1.333	70.65	9	6 4 2
1.299	72.81	17	5 5 3
1.247	76.36	12	8 0 0